(1)
Diffraction record for PrInHgPb. The PXRD pattern is computed, not measured: it uses DFT lattice parameters and positions (GGA-PBE) and Cu Kα X-rays.
Neutral-atom scattering factors, no anomalous dispersion.

Structural model:
```
data_PrInHgPb
_cell_length_a 4.7263
_cell_length_b 4.7334
_cell_length_c 4.8972
_cell_angle_alpha 90.00
_cell_angle_beta 90.00
_cell_angle_gamma 90.00
_space_group_name_H-M_alt 'P m m m'
_space_group_IT_number 47
_space_group_name_Hall '-P 2 2'
loop_
_atom_site_label
_atom_site_type_symbol
_atom_site_fract_x
_atom_site_fract_y
_atom_site_fract_z
_atom_site_occupancy
Pr1 Pr 0.0000 0.0000 0.0000 1
In1 In 0.0000 0.5000 0.5000 1
Hg1 Hg 0.5000 0.0000 0.5000 1
Pb1 Pb 0.5000 0.5000 0.0000 1
```

Most intense lines, 10° ≤ 2θ ≤ 80°, in order of falling intensity:
two_theta	Rel. int.	hkl
32.4	100	1 1 1
38.0	33	2 0 0
65.2	27	3 1 1
53.9	24	2 0 2
36.7	18	0 0 2
63.4	15	1 1 3
67.9	12	2 2 2
54.9	11	2 2 0
18.8	4	1 0 0
26.2	4	0 1 1

***

(2)
Diffraction record for Rb2InHg4Pb2. The PXRD pattern is computed, not measured: it uses DFT lattice parameters and positions (GGA-PBE) and Cu Kα X-rays.
Neutral-atom scattering factors, no anomalous dispersion.

Structural model:
```
data_Rb2InHg4Pb2
_cell_length_a 7.7480
_cell_length_b 7.7480
_cell_length_c 10.3210
_cell_angle_alpha 90.00
_cell_angle_beta 90.00
_cell_angle_gamma 90.00
_space_group_name_H-M_alt 'I 4/m m m'
_space_group_IT_number 139
_space_group_name_Hall '-I 4 2'
loop_
_atom_site_label
_atom_site_type_symbol
_atom_site_fract_x
_atom_site_fract_y
_atom_site_fract_z
_atom_site_occupancy
Rb1 Rb 0.0000 0.5000 0.2500 1
In1 In 0.0000 0.0000 0.0000 1
Hg1 Hg 0.2266 0.2266 0.5000 1
Pb1 Pb 0.0000 0.0000 0.3053 1
```

Most intense lines, 10° ≤ 2θ ≤ 80°, in order of falling intensity:
two_theta	Rel. int.	hkl
28.8	100	2 0 2
32.7	58	2 2 0
56.0	28	4 2 2
36.8	28	2 1 3
48.5	23	2 2 4
16.2	20	1 1 0
46.9	19	4 0 0
43.8	17	3 0 3
34.8	16	0 0 4
71.0	12	5 2 3

***

(3)
Diffraction record for InHgPb2Se5. The PXRD pattern is computed, not measured: it uses DFT lattice parameters and positions (GGA-PBE) and Cu Kα X-rays.
Neutral-atom scattering factors, no anomalous dispersion.

Structural model:
```
data_InHgPb2Se5
_cell_length_a 4.1068
_cell_length_b 19.3941
_cell_length_c 12.8301
_cell_angle_alpha 90.00
_cell_angle_beta 90.00
_cell_angle_gamma 90.00
_space_group_name_H-M_alt 'C m c 21'
_space_group_IT_number 36
_space_group_name_Hall 'C 2c -2'
loop_
_atom_site_label
_atom_site_type_symbol
_atom_site_fract_x
_atom_site_fract_y
_atom_site_fract_z
_atom_site_occupancy
In1 In 0.0000 0.0756 0.0000 1
Hg1 Hg 0.0000 0.2634 0.6123 1
Pb1 Pb 0.0000 0.3817 0.8630 1
Pb2 Pb 0.0000 0.4094 0.1988 1
Se1 Se 0.0000 0.0045 0.8300 1
Se2 Se 0.0000 0.1233 0.5406 1
Se3 Se 0.0000 0.2106 0.9670 1
Se4 Se 0.0000 0.2386 0.2596 1
Se5 Se 0.0000 0.4450 0.6235 1
```

Most intense lines, 10° ≤ 2θ ≤ 80°, in order of falling intensity:
two_theta	Rel. int.	hkl
30.5	100	1 1 3
22.7	65	0 2 3
34.8	56	1 5 2
28.5	54	0 6 1
26.2	54	1 1 2
41.8	53	1 7 2
38.2	52	1 5 3
44.1	49	2 0 0
26.6	47	1 3 1
27.6	45	0 6 0

***

(4)
Diffraction record for Sm2In3Hg6Pb. The PXRD pattern is computed, not measured: it uses DFT lattice parameters and positions (GGA-PBE) and Cu Kα X-rays.
Neutral-atom scattering factors, no anomalous dispersion.

Structural model:
```
data_Sm2In3Hg6Pb
_cell_length_a 4.5103
_cell_length_b 4.5103
_cell_length_c 20.0909
_cell_angle_alpha 90.00
_cell_angle_beta 90.00
_cell_angle_gamma 90.00
_space_group_name_H-M_alt 'P 4/m m m'
_space_group_IT_number 123
_space_group_name_Hall '-P 4 2'
loop_
_atom_site_label
_atom_site_type_symbol
_atom_site_fract_x
_atom_site_fract_y
_atom_site_fract_z
_atom_site_occupancy
Sm1 Sm 0.0000 0.0000 0.2373 1
In1 In 0.5000 0.5000 0.2212 1
In2 In 0.5000 0.5000 0.5000 1
Hg1 Hg 0.0000 0.5000 0.1152 1
Hg2 Hg 0.5000 0.5000 0.3606 1
Pb1 Pb 0.0000 0.0000 0.0000 1
```

Most intense lines, 10° ≤ 2θ ≤ 80°, in order of falling intensity:
two_theta	Rel. int.	hkl
33.3	100	1 1 4
40.0	87	2 0 0
36.0	84	1 1 5
20.2	72	1 0 1
28.3	51	1 1 1
54.7	43	2 0 8
26.6	39	1 0 4
31.1	39	1 1 3
35.8	36	0 0 8
42.4	34	1 1 7

***

(5)
Diffraction record for In2SnHg2Pb. The PXRD pattern is computed, not measured: it uses DFT lattice parameters and positions (GGA-PBE) and Cu Kα X-rays.
Neutral-atom scattering factors, no anomalous dispersion.

Structural model:
```
data_In2SnHg2Pb
_cell_length_a 4.5912
_cell_length_b 9.9503
_cell_length_c 7.5032
_cell_angle_alpha 90.00
_cell_angle_beta 90.00
_cell_angle_gamma 90.00
_space_group_name_H-M_alt 'P m c 21'
_space_group_IT_number 26
_space_group_name_Hall 'P 2c -2'
loop_
_atom_site_label
_atom_site_type_symbol
_atom_site_fract_x
_atom_site_fract_y
_atom_site_fract_z
_atom_site_occupancy
In1 In 0.0000 0.1571 0.0000 1
In2 In 0.5000 0.3289 0.6811 1
Sn1 Sn 0.5000 0.3551 0.0900 1
Hg1 Hg 0.0000 0.1368 0.5881 1
Hg2 Hg 0.5000 0.0658 0.3105 1
Pb1 Pb 0.0000 0.4442 0.3823 1
```

Most intense lines, 10° ≤ 2θ ≤ 80°, in order of falling intensity:
two_theta	Rel. int.	hkl
32.1	100	1 1 2
33.3	60	1 3 0
29.0	55	1 2 1
39.2	38	2 0 0
30.8	26	1 0 2
29.8	23	0 2 2
63.0	23	1 5 3
29.4	22	0 3 1
40.4	21	0 2 3
36.1	17	0 4 0

***

(6)
Diffraction record for In3Sn2HgPb3. The PXRD pattern is computed, not measured: it uses DFT lattice parameters and positions (GGA-PBE) and Cu Kα X-rays.
Neutral-atom scattering factors, no anomalous dispersion.

Structural model:
```
data_In3Sn2HgPb3
_cell_length_a 9.2642
_cell_length_b 9.2642
_cell_length_c 3.4682
_cell_angle_alpha 90.00
_cell_angle_beta 90.00
_cell_angle_gamma 120.00
_space_group_name_H-M_alt 'P -6 2 m'
_space_group_IT_number 189
_space_group_name_Hall 'P -6 -2'
loop_
_atom_site_label
_atom_site_type_symbol
_atom_site_fract_x
_atom_site_fract_y
_atom_site_fract_z
_atom_site_occupancy
In1 In 0.0000 0.7080 0.0000 1
Sn1 Sn 0.3333 0.6667 0.0000 1
Hg1 Hg 0.0000 0.0000 0.5000 1
Pb1 Pb 0.0000 0.3663 0.5000 1
```

Most intense lines, 10° ≤ 2θ ≤ 80°, in order of falling intensity:
two_theta	Rel. int.	hkl
33.5	100	3 0 0
32.2	91	1 1 1
64.0	45	3 0 2
34.2	38	2 0 1
56.6	29	3 2 1
39.5	23	2 1 1
47.2	23	2 2 1
59.1	18	4 1 1
29.5	17	2 1 0
59.9	12	3 3 0

***

(7)
Diffraction record for In2SnHg2Pb2. The PXRD pattern is computed, not measured: it uses DFT lattice parameters and positions (GGA-PBE) and Cu Kα X-rays.
Neutral-atom scattering factors, no anomalous dispersion.

Structural model:
```
data_In2SnHg2Pb2
_cell_length_a 4.7599
_cell_length_b 4.7599
_cell_length_c 10.8692
_cell_angle_alpha 90.00
_cell_angle_beta 90.00
_cell_angle_gamma 120.00
_space_group_name_H-M_alt 'P -3 m 1'
_space_group_IT_number 164
_space_group_name_Hall '-P 3 2"'
loop_
_atom_site_label
_atom_site_type_symbol
_atom_site_fract_x
_atom_site_fract_y
_atom_site_fract_z
_atom_site_occupancy
In1 In 0.3333 0.6667 0.3658 1
Sn1 Sn 0.0000 0.0000 0.5000 1
Hg1 Hg 0.3333 0.6667 0.9409 1
Pb1 Pb 0.0000 0.0000 0.1944 1
```

Most intense lines, 10° ≤ 2θ ≤ 80°, in order of falling intensity:
two_theta	Rel. int.	hkl
27.2	100	0 1 2
32.9	98	0 1 3
37.8	97	1 1 0
62.0	32	0 2 5
51.0	29	2 0 3
65.2	28	1 2 3
47.3	26	1 0 5
47.2	23	2 0 2
39.7	22	1 0 4
72.7	19	1 1 7

***

(8)
Diffraction record for Sr3In2Hg6Pb. The PXRD pattern is computed, not measured: it uses DFT lattice parameters and positions (GGA-PBE) and Cu Kα X-rays.
Neutral-atom scattering factors, no anomalous dispersion.

Structural model:
```
data_Sr3In2Hg6Pb
_cell_length_a 6.4595
_cell_length_b 6.4595
_cell_length_c 10.0602
_cell_angle_alpha 90.00
_cell_angle_beta 90.00
_cell_angle_gamma 120.00
_space_group_name_H-M_alt 'P -3 m 1'
_space_group_IT_number 164
_space_group_name_Hall '-P 3 2"'
loop_
_atom_site_label
_atom_site_type_symbol
_atom_site_fract_x
_atom_site_fract_y
_atom_site_fract_z
_atom_site_occupancy
Sr1 Sr 0.0000 0.0000 0.0000 1
Sr2 Sr 0.3333 0.6667 0.6093 1
In1 In 0.3333 0.6667 0.9764 1
Hg1 Hg 0.1774 0.3548 0.2562 1
Pb1 Pb 0.0000 0.0000 0.5000 1
```

Most intense lines, 10° ≤ 2θ ≤ 80°, in order of falling intensity:
two_theta	Rel. int.	hkl
33.2	100	2 0 1
33.0	67	1 1 2
31.1	40	0 1 3
36.8	34	2 0 2
18.1	33	1 0 1
42.1	29	0 2 3
57.0	27	2 2 0
35.7	24	0 0 4
17.6	23	0 0 2
56.3	21	2 0 5

***

(9)
Diffraction record for Sr2InHg4Pb2. The PXRD pattern is computed, not measured: it uses DFT lattice parameters and positions (GGA-PBE) and Cu Kα X-rays.
Neutral-atom scattering factors, no anomalous dispersion.

Structural model:
```
data_Sr2InHg4Pb2
_cell_length_a 7.3215
_cell_length_b 7.3215
_cell_length_c 10.3098
_cell_angle_alpha 90.00
_cell_angle_beta 90.00
_cell_angle_gamma 90.00
_space_group_name_H-M_alt 'I 4/m m m'
_space_group_IT_number 139
_space_group_name_Hall '-I 4 2'
loop_
_atom_site_label
_atom_site_type_symbol
_atom_site_fract_x
_atom_site_fract_y
_atom_site_fract_z
_atom_site_occupancy
Sr1 Sr 0.0000 0.5000 0.2500 1
In1 In 0.0000 0.0000 0.0000 1
Hg1 Hg 0.2230 0.2230 0.5000 1
Pb1 Pb 0.0000 0.0000 0.2973 1
```

Most intense lines, 10° ≤ 2θ ≤ 80°, in order of falling intensity:
two_theta	Rel. int.	hkl
29.9	100	2 0 2
34.7	52	2 2 0
37.9	32	2 1 3
17.2	30	0 0 2
49.9	25	2 2 4
45.6	23	3 0 3
59.2	22	4 2 2
34.8	20	0 0 4
49.8	16	4 0 0
69.8	12	4 3 3

***

(10)
Diffraction record for Tl2InHg2Pb. The PXRD pattern is computed, not measured: it uses DFT lattice parameters and positions (GGA-PBE) and Cu Kα X-rays.
Neutral-atom scattering factors, no anomalous dispersion.

Structural model:
```
data_Tl2InHg2Pb
_cell_length_a 17.1854
_cell_length_b 6.5880
_cell_length_c 6.5889
_cell_angle_alpha 90.00
_cell_angle_beta 106.10
_cell_angle_gamma 90.00
_space_group_name_H-M_alt 'C 1 2/c 1'
_space_group_IT_number 15
_space_group_name_Hall '-C 2yc'
loop_
_atom_site_label
_atom_site_type_symbol
_atom_site_fract_x
_atom_site_fract_y
_atom_site_fract_z
_atom_site_occupancy
Tl1 Tl 0.1713 0.2187 0.1395 1
In1 In 0.0000 0.4991 0.7500 1
Hg1 Hg 0.1426 0.2839 0.6097 1
Pb1 Pb 0.0000 0.0021 0.2500 1
```

Most intense lines, 10° ≤ 2θ ≤ 80°, in order of falling intensity:
two_theta	Rel. int.	hkl
38.8	100	2 2 -2
34.8	86	4 2 0
33.0	79	2 0 2
30.5	78	4 0 -2
29.2	78	2 2 0
32.5	75	6 0 0
53.6	36	8 2 -2
49.3	30	4 2 2
65.4	22	0 2 4
65.8	22	6 2 -4

***

(11)
Diffraction record for TlInHg4Pb2. The PXRD pattern is computed, not measured: it uses DFT lattice parameters and positions (GGA-PBE) and Cu Kα X-rays.
Neutral-atom scattering factors, no anomalous dispersion.

Structural model:
```
data_TlInHg4Pb2
_cell_length_a 14.1615
_cell_length_b 11.1832
_cell_length_c 6.6793
_cell_angle_alpha 90.00
_cell_angle_beta 118.02
_cell_angle_gamma 90.00
_space_group_name_H-M_alt 'C 1 2/m 1'
_space_group_IT_number 12
_space_group_name_Hall '-C 2y'
loop_
_atom_site_label
_atom_site_type_symbol
_atom_site_fract_x
_atom_site_fract_y
_atom_site_fract_z
_atom_site_occupancy
Tl1 Tl 0.0000 0.0000 0.0000 1
Tl2 Tl 0.0000 0.0000 0.5000 1
In1 In 0.2500 0.2500 0.0000 1
Hg1 Hg 0.0050 0.2483 0.7550 1
Hg2 Hg 0.2494 0.0000 0.2439 1
Hg3 Hg 0.2494 0.0000 0.7550 1
Pb1 Pb 0.0000 0.5000 0.0000 1
Pb2 Pb 0.0000 0.5000 0.5000 1
Pb3 Pb 0.2500 0.2500 0.5000 1
```

Most intense lines, 10° ≤ 2θ ≤ 80°, in order of falling intensity:
two_theta	Rel. int.	hkl
31.2	100	2 2 -2
42.8	85	2 2 2
28.6	62	4 0 0
32.0	47	0 4 0
43.4	41	4 4 0
64.6	26	2 6 2
56.5	19	2 6 -2
65.1	13	4 4 -4
68.3	11	6 2 2
68.4	11	10 2 -2

***

(12)
Diffraction record for Tl4InHg2Pb2. The PXRD pattern is computed, not measured: it uses DFT lattice parameters and positions (GGA-PBE) and Cu Kα X-rays.
Neutral-atom scattering factors, no anomalous dispersion.

Structural model:
```
data_Tl4InHg2Pb2
_cell_length_a 6.0966
_cell_length_b 6.5826
_cell_length_c 6.7522
_cell_angle_alpha 93.10
_cell_angle_beta 97.67
_cell_angle_gamma 96.40
_space_group_name_H-M_alt 'P -1'
_space_group_IT_number 2
_space_group_name_Hall '-P 1'
loop_
_atom_site_label
_atom_site_type_symbol
_atom_site_fract_x
_atom_site_fract_y
_atom_site_fract_z
_atom_site_occupancy
Tl1 Tl 0.1484 0.2930 0.4333 1
Tl2 Tl 0.2282 0.0574 0.8880 1
In1 In 0.0000 0.5000 0.0000 1
Hg1 Hg 0.4232 0.6090 0.7976 1
Pb1 Pb 0.3204 0.8188 0.3466 1
```

Most intense lines, 10° ≤ 2θ ≤ 80°, in order of falling intensity:
two_theta	Rel. int.	hkl
31.3	100	0 2 1
32.5	91	1 0 2
32.6	89	1 -2 1
31.9	86	1 1 -2
32.8	82	-2 1 1
34.4	70	2 1 0
58.8	47	2 -2 3
44.0	37	-1 1 3
46.6	29	1 3 -1
49.6	26	3 -1 1

***

(13)
Diffraction record for Tl2In2HgPb4. The PXRD pattern is computed, not measured: it uses DFT lattice parameters and positions (GGA-PBE) and Cu Kα X-rays.
Neutral-atom scattering factors, no anomalous dispersion.

Structural model:
```
data_Tl2In2HgPb4
_cell_length_a 5.9666
_cell_length_b 6.0827
_cell_length_c 7.8421
_cell_angle_alpha 82.97
_cell_angle_beta 73.66
_cell_angle_gamma 79.07
_space_group_name_H-M_alt 'P -1'
_space_group_IT_number 2
_space_group_name_Hall '-P 1'
loop_
_atom_site_label
_atom_site_type_symbol
_atom_site_fract_x
_atom_site_fract_y
_atom_site_fract_z
_atom_site_occupancy
Tl1 Tl 0.1079 0.2191 0.0613 1
In1 In 0.2174 0.4430 0.6088 1
Hg1 Hg 0.0000 0.0000 0.5000 1
Pb1 Pb 0.3361 0.6591 0.1782 1
Pb2 Pb 0.4481 0.8906 0.7153 1
```

Most intense lines, 10° ≤ 2θ ≤ 80°, in order of falling intensity:
two_theta	Rel. int.	hkl
31.5	100	2 1 1
36.1	69	1 2 -1
31.2	50	1 -1 2
31.9	48	1 0 -2
37.4	32	2 -1 0
52.5	24	1 -3 1
61.8	22	1 4 0
63.8	14	-2 3 1
51.9	13	2 3 2
52.2	12	0 1 -4

***

(14)
Diffraction record for In3HgPd. The PXRD pattern is computed, not measured: it uses DFT lattice parameters and positions (GGA-PBE) and Cu Kα X-rays.
Neutral-atom scattering factors, no anomalous dispersion.

Structural model:
```
data_In3HgPd
_cell_length_a 6.1813
_cell_length_b 9.5591
_cell_length_c 16.0789
_cell_angle_alpha 90.00
_cell_angle_beta 90.00
_cell_angle_gamma 90.00
_space_group_name_H-M_alt 'F m m m'
_space_group_IT_number 69
_space_group_name_Hall '-F 2 2'
loop_
_atom_site_label
_atom_site_type_symbol
_atom_site_fract_x
_atom_site_fract_y
_atom_site_fract_z
_atom_site_occupancy
In1 In 0.0000 0.0000 0.2376 1
In2 In 0.0000 0.2367 0.4001 1
Hg1 Hg 0.2423 0.0000 0.0000 1
Pd1 Pd 0.2500 0.2500 0.2500 1
```

Most intense lines, 10° ≤ 2θ ≤ 80°, in order of falling intensity:
two_theta	Rel. int.	hkl
36.4	100	2 2 2
29.0	56	0 2 4
37.6	39	0 4 0
36.7	30	2 0 4
38.5	27	0 2 6
68.7	24	2 2 10
59.9	23	4 0 0
22.1	19	0 0 4
53.6	19	2 4 4
44.8	17	2 0 6